Diffraction record for ScNbRu2. The powder XRD pattern is simulated, not measured: it uses a structure optimized by DFT (PBE) and Cu Kα.

```
data_ScNbRu2
_chemical_formula_sum 'Sc4 Nb4 Ru8'
_space_group_name_H-M_alt 'P 1'
_space_group_IT_number 1
_cell_length_a 6.383
_cell_length_b 6.383
_cell_length_c 6.383
_cell_angle_alpha 90.00
_cell_angle_beta 90.00
_cell_angle_gamma 90.00
loop_
_space_group_symop_operation_xyz
'x,y,z'
loop_
_atom_site_label
_atom_site_type_symbol
_atom_site_fract_x
_atom_site_fract_y
_atom_site_fract_z
Sc1 Sc 0.000 0.000 0.000
Sc2 Sc 0.000 0.500 0.500
Sc3 Sc 0.500 0.000 0.500
Sc4 Sc 0.500 0.500 0.000
Nb1 Nb 0.000 0.000 0.500
Nb2 Nb 0.000 0.500 0.000
Nb3 Nb 0.500 0.000 0.000
Nb4 Nb 0.500 0.500 0.500
Ru1 Ru 0.250 0.250 0.250
Ru2 Ru 0.250 0.250 0.750
Ru3 Ru 0.250 0.750 0.250
Ru4 Ru 0.250 0.750 0.750
Ru5 Ru 0.750 0.250 0.250
Ru6 Ru 0.750 0.250 0.750
Ru7 Ru 0.750 0.750 0.250
Ru8 Ru 0.750 0.750 0.750
```

The 8 most intense peaks (2θ from 5° to 70°), low angle first:
index, d_spacing, Position (°2θ), I (rel.)
1 1 1, 3.685, 24.15, 5
2 0 0, 3.192, 27.96, 5
2 2 0, 2.257, 39.95, 100
3 1 1, 1.925, 47.23, 3
2 2 2, 1.843, 49.46, 1
4 0 0, 1.596, 57.77, 16
3 3 1, 1.464, 63.53, 1
4 2 0, 1.427, 65.38, 2

***

Diffraction record for Zr3Ag. The powder XRD pattern is simulated, not measured: it uses a structure optimized by DFT (PBE) and Cu Kα.

```
data_Zr3Ag
_chemical_formula_sum 'Zr3 Ag1'
_space_group_name_H-M_alt 'P 1'
_space_group_IT_number 1
_cell_length_a 4.416
_cell_length_b 4.416
_cell_length_c 4.416
_cell_angle_alpha 90.00
_cell_angle_beta 90.00
_cell_angle_gamma 90.00
loop_
_space_group_symop_operation_xyz
'x,y,z'
loop_
_atom_site_label
_atom_site_type_symbol
_atom_site_fract_x
_atom_site_fract_y
_atom_site_fract_z
Zr1 Zr 0.000 0.000 0.500
Zr2 Zr 0.000 0.500 0.000
Zr3 Zr 0.500 0.000 0.000
Ag1 Ag 0.500 0.500 0.500
```

The 5 most intense peaks (2θ from 5° to 70°), low angle first:
index, d_spacing, Position (°2θ), I (rel.)
1 0 0, 4.416, 20.11, 1
1 1 0, 3.123, 28.58, 1
1 1 1, 2.550, 35.20, 100
2 0 0, 2.208, 40.87, 49
2 2 0, 1.561, 59.17, 32

***

Diffraction record for TlFeI3. The powder XRD pattern is simulated, not measured: it uses a structure optimized by DFT (PBE) and Cu Kα.

```
data_TlFeI3
_chemical_formula_sum 'Tl4 Fe4 I12'
_space_group_name_H-M_alt 'P 1'
_space_group_IT_number 1
_cell_length_a 9.824
_cell_length_b 4.010
_cell_length_c 16.127
_cell_angle_alpha 90.00
_cell_angle_beta 90.00
_cell_angle_gamma 90.00
loop_
_space_group_symop_operation_xyz
'x,y,z'
loop_
_atom_site_label
_atom_site_type_symbol
_atom_site_fract_x
_atom_site_fract_y
_atom_site_fract_z
Tl1 Tl 0.057 0.250 0.173
Tl2 Tl 0.443 0.750 0.673
Tl3 Tl 0.557 0.250 0.327
Tl4 Tl 0.943 0.750 0.827
Fe1 Fe 0.149 0.750 0.451
Fe2 Fe 0.351 0.250 0.951
Fe3 Fe 0.649 0.750 0.049
Fe4 Fe 0.851 0.250 0.549
I1 I 0.013 0.750 0.590
I2 I 0.189 0.750 0.000
I3 I 0.233 0.250 0.801
I4 I 0.267 0.750 0.301
I5 I 0.311 0.250 0.500
I6 I 0.487 0.250 0.090
I7 I 0.513 0.750 0.910
I8 I 0.689 0.750 0.500
I9 I 0.733 0.250 0.699
I10 I 0.767 0.750 0.199
I11 I 0.811 0.250 0.000
I12 I 0.987 0.250 0.410
```

The 12 most intense peaks (2θ from 5° to 70°), low angle first:
index, d_spacing, Position (°2θ), I (rel.)
1 0 3, 4.711, 18.84, 42
2 0 4, 3.116, 28.64, 33
1 0 5, 3.059, 29.20, 100
2 1 1, 3.050, 29.28, 91
3 0 2, 3.034, 29.44, 23
2 1 2, 2.899, 30.85, 43
1 1 4, 2.731, 32.79, 33
3 0 4, 2.542, 35.31, 20
3 1 4, 2.147, 42.09, 25
0 2 0, 2.005, 45.23, 27
1 1 7, 1.957, 46.41, 18
1 2 5, 1.678, 54.69, 23